Starting from the GGA-PBE geometry in the Materials Project, the X-ray diffraction stick pattern of Cs2LiNdB2O6 was calculated for λ = 1.5418 Å (Cu Kα).
No peak broadening, texture or thermal motion is included.

Atomic structure:
Cell: 7.3235 10.1813 10.4706 Å, 90.00 90.00 90.00°
Space group Pbcm (No. 57)
Unique sites:
Cs: 0.2276 0.0769 0.0536 x8
Li: 0.0557 0.1621 0.7500 x4
Nd: 0.3576 0.7236 0.2500 x4
B: 0.1929 0.7500 0.0000 x4
B: 0.3517 0.0676 0.7500 x4
O: 0.1038 0.7149 0.6117 x8
O: 0.1981 0.5130 0.2500 x4
O: 0.3289 0.2034 0.7500 x4
O: 0.3846 0.7500 0.0000 x4
O: 0.4775 0.5092 0.7500 x4

Principal peaks in the range 2θ = 15–90°, low angle first:
- hkl 1 0 2, 20.86 deg, I = 28.1
- hkl 1 1 2, 22.63 deg, I = 65.8
- hkl 2 0 0, 24.35 deg, I = 82.2
- hkl 1 3 0, 29.00 deg, I = 100.0
- hkl 1 1 3, 29.70 deg, I = 90.9
- hkl 0 2 3, 31.07 deg, I = 20.8
- hkl 2 2 2, 34.70 deg, I = 17.6
- hkl 2 3 2, 40.11 deg, I = 16.8
- hkl 0 4 3, 44.03 deg, I = 19.6
- hkl 3 3 2, 49.16 deg, I = 16.6

Starting from the GGA-PBE geometry in the Materials Project, the X-ray diffraction stick pattern of CsLiB6O10 was calculated for λ = 1.5418 Å (Cu Kα).
No peak broadening, texture or thermal motion is included.

Atomic structure:
Cell: 9.1065 10.5661 10.5892 Å, 90.00 90.00 90.00°
Space group I2_12_12_1 (No. 24)
Unique sites:
Cs: 0.1269 0.0000 0.2500 x4
Li: 0.1286 0.5000 0.7500 x4
B: 0.0000 0.2500 0.7735 x4
B: 0.0646 0.3507 0.9819 x8
B: 0.1855 0.2670 0.6004 x8
B: 0.2500 0.4759 0.5000 x4
O: 0.0000 0.2500 0.0484 x4
O: 0.0552 0.3552 0.8527 x8
O: 0.1182 0.1979 0.6923 x8
O: 0.1313 0.4430 0.0512 x8
O: 0.1961 0.3965 0.6054 x8
O: 0.2500 0.2002 0.5000 x4

Principal peaks in the range 2θ = 15–90°, low angle first:
- hkl 0 2 0, 16.76 deg, I = 14.0
- hkl 1 1 2, 21.16 deg, I = 100.0
- hkl 2 1 1, 22.87 deg, I = 65.0
- hkl 0 2 2, 23.79 deg, I = 13.6
- hkl 1 3 2, 32.05 deg, I = 20.1
- hkl 2 1 3, 33.23 deg, I = 33.2
- hkl 3 2 1, 35.13 deg, I = 24.1
- hkl 1 1 4, 36.38 deg, I = 17.2
- hkl 2 3 3, 41.28 deg, I = 17.1
- hkl 1 5 0, 43.94 deg, I = 11.8

Starting from the GGA-PBE geometry in the Materials Project, the X-ray diffraction stick pattern of CsLi5B2O6 was calculated for λ = 1.5418 Å (Cu Kα).
No peak broadening, texture or thermal motion is included.

Atomic structure:
Cell: 11.9035 9.5514 8.1802 Å, 90.00 132.69 90.00°
Space group C2/c (No. 15)
Unique sites:
Cs: 0.0000 0.1917 0.2500 x4
Li: 0.0000 0.5000 0.0000 x4
Li: 0.1020 0.1319 0.7292 x8
Li: 0.1128 0.3166 0.9605 x8
B: 0.2402 0.4283 0.8114 x8
O: 0.1103 0.3453 0.7157 x8
O: 0.1177 0.1129 0.9930 x8
O: 0.2186 0.4485 0.2017 x8

Principal peaks in the range 2θ = 15–90°, low angle first:
- hkl 0 2 1, 23.79 deg, I = 81.4
- hkl 1 1 1, 24.78 deg, I = 93.3
- hkl 3 1 -1, 25.01 deg, I = 100.0
- hkl 2 2 0, 27.65 deg, I = 91.8
- hkl 2 2 -2, 28.74 deg, I = 87.7
- hkl 0 0 2, 29.72 deg, I = 58.8
- hkl 1 3 0, 29.86 deg, I = 53.9
- hkl 4 0 -2, 30.11 deg, I = 99.8
- hkl 3 1 -3, 34.20 deg, I = 97.7
- hkl 0 4 1, 40.68 deg, I = 82.7